Simulated X-ray powder pattern
Compound: TaFeAu
Radiation: Cu Kα (weighted mean of Kα1 and Kα2)
Structure: a crystal structure in OQMD, relaxed with GGA-PBE

Top 8 peaks for 10° ≤ 2θ ≤ 90°, in order of rising 2θ:
2θ (°)	I (rel.)
25.6	67
29.7	4
42.4	100
50.2	34
61.6	17
67.8	14
77.6	34
83.3	11

Crystal structure
```
data_TaFeAu
_chemical_formula_sum 'Ta4 Fe4 Au4'
_cell_length_a 6.025
_cell_length_b 6.025
_cell_length_c 6.025
_cell_angle_alpha 90.00
_cell_angle_beta 90.00
_cell_angle_gamma 90.00
_space_group_name_H-M_alt 'F -4 3 m'
_space_group_IT_number 216
_space_group_name_Hall 'F -4 2 3'
loop_
_atom_site_label
_atom_site_type_symbol
_atom_site_fract_x
_atom_site_fract_y
_atom_site_fract_z
Ta1 Ta 0.000 0.000 0.000
Fe1 Fe 0.250 0.250 0.250
Au1 Au 0.250 0.250 0.750
```

Simulated X-ray powder pattern
Compound: Ga2Au9
Radiation: Cu Kα (weighted mean of Kα1 and Kα2)
Structure: a crystal structure in OQMD, relaxed with GGA-PBE

Top 8 peaks for 10° ≤ 2θ ≤ 90°, in order of rising 2θ:
2θ (°)	I (rel.)
34.9	19
37.0	27
37.5	30
37.8	100
42.3	26
43.8	63
63.9	30
76.5	23

Crystal structure
```
data_Ga2Au9
_chemical_formula_sum 'Ga2 Au9'
_cell_length_a 2.9152
_cell_length_b 2.9152
_cell_length_c 35.9890
_cell_angle_alpha 90.00
_cell_angle_beta 90.00
_cell_angle_gamma 120.00
_space_group_name_H-M_alt 'P -3 m 1'
_space_group_IT_number 164
_space_group_name_Hall '-P 3 2"'
loop_
_atom_site_label
_atom_site_type_symbol
_atom_site_fract_x
_atom_site_fract_y
_atom_site_fract_z
Ga1 Ga 0.3333 0.6667 0.3396
Au1 Au 0.0000 0.0000 0.0000
Au2 Au 0.0000 0.0000 0.2036
Au3 Au 0.3333 0.6667 0.1353
Au4 Au 0.3333 0.6667 0.7267
Au5 Au 0.3333 0.6667 0.9324
```

Simulated X-ray powder pattern
Compound: Ga2Au
Radiation: Cu Kα (weighted mean of Kα1 and Kα2)
Structure: a crystal structure in OQMD, relaxed with GGA-PBE

Top 8 peaks for 10° ≤ 2θ ≤ 90°, in order of rising 2θ:
2θ (°)	I (rel.)
25.0	81
41.4	100
49.0	41
60.0	17
66.0	17
75.5	34
81.0	13
90.0	11

Crystal structure
```
data_Ga2Au
_chemical_formula_sum 'Ga8 Au4'
_cell_length_a 6.168
_cell_length_b 6.168
_cell_length_c 6.168
_cell_angle_alpha 90.00
_cell_angle_beta 90.00
_cell_angle_gamma 90.00
_space_group_name_H-M_alt 'F m -3 m'
_space_group_IT_number 225
_space_group_name_Hall '-F 4 2 3'
loop_
_atom_site_label
_atom_site_type_symbol
_atom_site_fract_x
_atom_site_fract_y
_atom_site_fract_z
Ga1 Ga 0.250 0.250 0.250
Au1 Au 0.000 0.000 0.000
```